[1]
For NaHfMg6O7, a GGA-PBE-relaxed structure gives the theoretical powder diffractogram in this record (λ = 1.5418 Å (Cu Kα)).
Intensities are scaled so that the largest is 100.

Structure:
Unit cell a=4.3949 b=4.3949 c=8.9252 alpha=90.00 beta=90.00 gamma=90.00
Positions (direct):
Na: 0.0000 0.0000 0.0000
Hf: 0.0000 0.0000 0.5029
Mg: 0.0000 0.5000 0.2270
Mg: 0.0000 0.5000 0.7682
Mg: 0.5000 0.0000 0.2270
Mg: 0.5000 0.0000 0.7682
Mg: 0.5000 0.5000 0.5142
Mg: 0.5000 0.5000 0.9922
O: 0.0000 0.0000 0.2701
O: 0.0000 0.0000 0.7367
O: 0.0000 0.5000 0.5198
O: 0.0000 0.5000 0.9974
O: 0.5000 0.0000 0.5198
O: 0.5000 0.0000 0.9974
O: 0.5000 0.5000 0.7541

Most intense lines, 10° ≤ 2θ ≤ 90°, sorted by position:
2theta	I (rel.)	(hkl)
20.21	73.1	1 0 0
22.55	100.0	1 0 1
30.46	55.4	1 1 1
35.19	74.0	1 1 2
41.08	93.7	2 0 0
59.00	53.3	2 0 4

***

[2]
For NaHfMg14O15, a GGA-PBE-relaxed structure gives the theoretical powder diffractogram in this record (λ = 1.5418 Å (Cu Kα)).
Intensities are scaled so that the largest is 100.

Structure:
Unit cell a=4.3315 b=8.6697 c=8.6134 alpha=90.00 beta=90.00 gamma=90.00
Positions (direct):
Na: 0.0000 0.0000 0.0000
Hf: 0.0000 0.5000 0.5015
Mg: 0.0000 0.0000 0.5033
Mg: 0.0000 0.2410 0.2435
Mg: 0.0000 0.2454 0.7605
Mg: 0.0000 0.5000 0.0028
Mg: 0.0000 0.7546 0.7605
Mg: 0.0000 0.7590 0.2435
Mg: 0.5000 0.0000 0.2467
Mg: 0.5000 0.0000 0.7560
Mg: 0.5000 0.2402 0.5023
Mg: 0.5000 0.2447 0.0019
Mg: 0.5000 0.5000 0.2426
Mg: 0.5000 0.5000 0.7620
Mg: 0.5000 0.7553 0.0019
Mg: 0.5000 0.7598 0.5023
O: 0.0000 0.0000 0.2668
O: 0.0000 0.2520 0.5006
O: 0.0000 0.2653 0.0024
O: 0.0000 0.5000 0.2528
O: 0.0000 0.5000 0.7512
O: 0.0000 0.7347 0.0024
O: 0.0000 0.7480 0.5006
O: 0.5000 0.0000 0.0012
O: 0.5000 0.0000 0.5002
O: 0.5000 0.2521 0.2542
O: 0.5000 0.2546 0.7497
O: 0.5000 0.5000 0.0024
O: 0.5000 0.5000 0.5020
O: 0.5000 0.7454 0.7497
O: 0.5000 0.7479 0.2542

Most intense lines, 10° ≤ 2θ ≤ 90°, sorted by position:
2theta	I (rel.)	(hkl)
10.23	100.0	0 1 0
22.97	52.7	1 1 0
35.97	42.9	1 2 2
41.69	91.9	2 0 0
41.96	44.8	0 0 4
60.63	52.8	2 0 4

***

[3]
For NaHfMg6O7, a GGA-PBE-relaxed structure gives the theoretical powder diffractogram in this record (λ = 1.5418 Å (Cu Kα)).
Intensities are scaled so that the largest is 100.

Structure:
Unit cell a=4.3524 b=4.3524 c=8.8140 alpha=90.00 beta=90.00 gamma=90.00
Positions (direct):
Na: 0.0000 0.0000 0.0000
Hf: 0.5000 0.5000 0.9994
Mg: 0.0000 0.0000 0.5009
Mg: 0.0000 0.5000 0.2584
Mg: 0.0000 0.5000 0.7421
Mg: 0.5000 0.0000 0.2584
Mg: 0.5000 0.0000 0.7421
Mg: 0.5000 0.5000 0.4993
O: 0.0000 0.0000 0.7334
O: 0.0000 0.5000 0.5008
O: 0.0000 0.5000 0.9965
O: 0.5000 0.0000 0.5008
O: 0.5000 0.0000 0.9965
O: 0.5000 0.5000 0.2547
O: 0.5000 0.5000 0.7458

Most intense lines, 10° ≤ 2θ ≤ 90°, sorted by position:
2theta	I (rel.)	(hkl)
10.04	100.0	0 0 1
20.40	63.1	1 0 0
22.79	79.0	1 0 1
35.58	62.3	1 1 2
41.50	77.1	2 0 0
59.72	47.1	2 0 4

***

[4]
For NaHfMg14O15, a GGA-PBE-relaxed structure gives the theoretical powder diffractogram in this record (λ = 1.5418 Å (Cu Kα)).
Intensities are scaled so that the largest is 100.

Structure:
Unit cell a=4.3247 b=8.7019 c=8.6484 alpha=90.00 beta=90.00 gamma=90.00
Positions (direct):
Na: 0.0000 0.0000 0.0000
Hf: 0.0000 0.5000 0.0034
Mg: 0.0000 0.0000 0.5038
Mg: 0.0000 0.2413 0.2580
Mg: 0.0000 0.2461 0.7457
Mg: 0.0000 0.5000 0.5016
Mg: 0.0000 0.7539 0.7457
Mg: 0.0000 0.7587 0.2580
Mg: 0.5000 0.0000 0.2508
Mg: 0.5000 0.0000 0.7528
Mg: 0.5000 0.2347 0.0022
Mg: 0.5000 0.2474 0.5025
Mg: 0.5000 0.5000 0.2602
Mg: 0.5000 0.5000 0.7451
Mg: 0.5000 0.7526 0.5025
Mg: 0.5000 0.7653 0.0022
O: 0.0000 0.0000 0.2669
O: 0.0000 0.2544 0.5014
O: 0.0000 0.2634 0.0036
O: 0.0000 0.5000 0.2571
O: 0.0000 0.5000 0.7480
O: 0.0000 0.7366 0.0036
O: 0.0000 0.7456 0.5014
O: 0.5000 0.0000 0.0022
O: 0.5000 0.0000 0.5012
O: 0.5000 0.2508 0.2508
O: 0.5000 0.2541 0.7540
O: 0.5000 0.5000 0.0031
O: 0.5000 0.5000 0.5024
O: 0.5000 0.7459 0.7540
O: 0.5000 0.7492 0.2508

Most intense lines, 10° ≤ 2θ ≤ 90°, sorted by position:
2theta	I (rel.)	(hkl)
10.19	100.0	0 1 0
14.44	44.7	0 1 1
22.94	50.2	1 1 0
41.51	47.4	0 4 0
41.78	94.4	2 0 0
60.36	55.1	2 4 0

***

[5]
For NaHfMg6O7, a GGA-PBE-relaxed structure gives the theoretical powder diffractogram in this record (λ = 1.5418 Å (Cu Kα)).
Intensities are scaled so that the largest is 100.

Structure:
Unit cell a=4.3215 b=4.3215 c=8.8772 alpha=90.00 beta=90.00 gamma=90.00
Positions (direct):
Na: 0.0000 0.0000 0.0000
Hf: 0.5000 0.5000 0.9995
Mg: 0.0000 0.0000 0.4968
Mg: 0.0000 0.5000 0.2548
Mg: 0.0000 0.5000 0.7389
Mg: 0.5000 0.0000 0.2548
Mg: 0.5000 0.0000 0.7389
Mg: 0.5000 0.5000 0.5012
O: 0.0000 0.0000 0.2652
O: 0.0000 0.0000 0.7297
O: 0.0000 0.5000 0.4980
O: 0.0000 0.5000 0.9903
O: 0.5000 0.0000 0.4980
O: 0.5000 0.0000 0.9903
O: 0.5000 0.5000 0.7437

Most intense lines, 10° ≤ 2θ ≤ 90°, sorted by position:
2theta	I (rel.)	(hkl)
22.89	100.0	1 0 1
28.83	65.9	1 0 2
35.67	76.8	1 1 2
40.65	49.3	0 0 4
41.81	93.1	2 0 0
59.73	57.6	2 0 4